Entry 1:
# Sr7Pd4
Computed XRD peak list, CuKα. Input: a crystal structure in OQMD, relaxed with PBE.
Peak positions follow from Bragg's law for the DFT cell and can differ from measured ones.

Largest 12 diffraction maxima, low angle first, 2θ = 10–90°:
| two_theta | I/Imax |
| --- | --- |
| 20.91 | 316 |
| 27.37 | 586 |
| 28.54 | 535 |
| 30.46 | 562 |
| 31.37 | 426 |
| 31.58 | 1000 |
| 31.69 | 978 |
| 32.05 | 613 |
| 32.51 | 573 |
| 32.60 | 341 |
| 33.40 | 408 |
| 40.71 | 756 |

Structural model:
```
22
Lattice="9.3242 -2.2165 0.0000 9.3242 2.2165 0.0000 -4.6900 0.0000 17.0253" Properties=species:S:1:pos:R:3 pbc="T T T"
Sr 0.0000 0.0000 0.0000
Sr -2.9448 0.0000 11.5207
Sr 0.6971 0.0000 9.0902
Sr 2.1625 0.0000 5.3725
Sr 0.0682 0.0000 13.6331
Sr 6.2403 0.0000 0.4506
Sr 4.3080 0.0000 14.0659
Sr 6.9791 0.0000 8.5127
Sr 9.6503 0.0000 2.9594
Sr 7.7180 0.0000 16.5747
Sr 13.8901 0.0000 3.3923
Sr 11.7958 0.0000 11.6528
Sr 13.2612 0.0000 7.9351
Sr 16.9030 0.0000 5.5046
Pd -2.8515 0.0000 14.6584
Pd 2.6538 0.0000 2.0187
Pd 5.1878 0.0000 5.9249
Pd 4.2107 0.0000 10.3821
Pd 9.7476 0.0000 6.6432
Pd 8.7705 0.0000 11.1004
Pd 11.3045 0.0000 15.0066
Pd 16.8098 0.0000 2.3669
```

Entry 2:
# Sr2Pd
Computed XRD peak list, CuKα. Input: a crystal structure in OQMD, relaxed with PBE.
Peak positions follow from Bragg's law for the DFT cell and can differ from measured ones.

Largest 12 diffraction maxima, low angle first, 2θ = 10–90°:
| two_theta | I/Imax |
| --- | --- |
| 12.66 | 842 |
| 26.14 | 1000 |
| 27.18 | 245 |
| 27.74 | 448 |
| 33.23 | 271 |
| 34.02 | 236 |
| 36.48 | 260 |
| 41.03 | 746 |
| 43.11 | 236 |
| 46.60 | 232 |
| 49.30 | 173 |
| 68.55 | 329 |

Structural model:
```
12
Lattice="2.1999 1.2701 27.9765 -2.1999 1.2701 27.9765 0.0000 -2.5402 27.9765" Properties=species:S:1:pos:R:3 pbc="T T T"
Sr 0.0000 0.0000 5.3204
Sr 0.0000 0.0000 12.3254
Sr 0.0000 0.0000 19.3238
Sr 0.0000 0.0000 26.3126
Sr 0.0000 0.0000 57.6168
Sr 0.0000 0.0000 64.6056
Sr 0.0000 0.0000 71.6040
Sr 0.0000 0.0000 78.6090
Pd 0.0000 0.0000 0.0000
Pd 0.0000 0.0000 34.9651
Pd 0.0000 0.0000 41.9647
Pd 0.0000 0.0000 48.9643
```

Entry 3:
# Sr5Pd19
Computed XRD peak list, CuKα. Input: a crystal structure in OQMD, relaxed with PBE.
Peak positions follow from Bragg's law for the DFT cell and can differ from measured ones.

Largest 12 diffraction maxima, low angle first, 2θ = 10–90°:
| two_theta | I/Imax |
| --- | --- |
| 18.96 | 193 |
| 29.46 | 132 |
| 32.85 | 197 |
| 38.18 | 310 |
| 38.73 | 1000 |
| 40.55 | 299 |
| 42.20 | 276 |
| 43.38 | 172 |
| 44.70 | 113 |
| 62.59 | 243 |
| 68.87 | 241 |
| 83.09 | 216 |

Structural model:
```
48
Lattice="5.4532 0.0000 0.0000 -2.7266 4.7226 0.0000 0.0000 0.0000 35.5920" Properties=species:S:1:pos:R:3 pbc="T T T"
Sr 0.0000 3.1484 0.7519
Sr 0.0000 3.1484 4.6762
Sr 0.0000 3.1484 8.8980
Sr 0.0000 3.1484 13.1198
Sr 0.0000 3.1484 17.0441
Sr 2.7266 1.5742 18.5479
Sr 2.7266 1.5742 22.4722
Sr 2.7266 1.5742 26.6940
Sr 2.7266 1.5742 30.9158
Sr 2.7266 1.5742 34.8401
Pd 0.0000 0.0000 0.0000
Pd 0.0000 0.0000 4.4827
Pd 0.0000 0.0000 8.8980
Pd 0.0000 0.0000 13.3133
Pd 0.0000 0.0000 17.7960
Pd 0.0000 0.0000 22.2787
Pd 0.0000 0.0000 26.6940
Pd 0.0000 0.0000 31.1092
Pd 0.0000 1.5760 24.4954
Pd 0.0000 1.5760 28.8925
Pd -1.3618 3.9346 24.4954
Pd -1.3618 3.9346 28.8925
Pd 0.0000 1.5834 20.0416
Pd 0.0000 1.5834 33.3463
Pd -1.3554 3.9309 20.0416
Pd -1.3554 3.9309 33.3463
Pd 0.0000 3.1484 22.2642
Pd 0.0000 3.1484 26.6940
Pd 0.0000 3.1484 31.1237
Pd 1.3648 0.7880 6.6994
Pd 1.3648 0.7880 11.0965
Pd 1.3712 0.7917 2.2456
Pd 1.3712 0.7917 15.5504
Pd 1.3554 3.9309 20.0416
Pd 1.3554 3.9309 33.3463
Pd 1.3618 3.9346 24.4954
Pd 1.3618 3.9346 28.8925
Pd 2.7266 1.5742 4.4683
Pd 2.7266 1.5742 8.8980
Pd 2.7266 1.5742 13.3277
Pd 4.0820 0.7917 2.2456
Pd 4.0820 0.7917 15.5504
Pd 2.7266 3.1392 2.2456
Pd 2.7266 3.1392 15.5504
Pd 4.0884 0.7880 6.6994
Pd 4.0884 0.7880 11.0965
Pd 2.7266 3.1466 6.6994
Pd 2.7266 3.1466 11.0965
```

Entry 4:
# Sr2Pd2W3
Computed XRD peak list, CuKα. Input: a crystal structure in OQMD, relaxed with PBE.
Peak positions follow from Bragg's law for the DFT cell and can differ from measured ones.

Largest 12 diffraction maxima, low angle first, 2θ = 10–90°:
| two_theta | I/Imax |
| --- | --- |
| 10.35 | 1000 |
| 20.79 | 106 |
| 33.29 | 775 |
| 39.33 | 918 |
| 40.78 | 237 |
| 41.96 | 255 |
| 51.17 | 125 |
| 52.46 | 214 |
| 62.51 | 111 |
| 67.49 | 200 |
| 71.31 | 159 |
| 84.61 | 103 |

Structural model:
```
7
Lattice="2.2908 1.3226 8.5459 -2.2908 1.3226 8.5459 0.0000 -2.6452 8.5459" Properties=species:S:1:pos:R:3 pbc="T T T"
Sr 0.0000 0.0000 0.0000
Sr 0.0000 0.0000 11.1665
Pd 0.0000 0.0000 4.1300
Pd 0.0000 0.0000 17.7107
W 0.0000 0.0000 6.6616
W 0.0000 0.0000 14.6304
W 0.0000 0.0000 22.4480
```

Entry 5:
# Sr3Zn2Pd
Computed XRD peak list, CuKα. Input: a crystal structure in OQMD, relaxed with PBE.
Peak positions follow from Bragg's law for the DFT cell and can differ from measured ones.

Largest 12 diffraction maxima, low angle first, 2θ = 10–90°:
| two_theta | I/Imax |
| --- | --- |
| 14.10 | 154 |
| 24.94 | 150 |
| 27.85 | 195 |
| 32.17 | 1000 |
| 34.05 | 924 |
| 37.46 | 426 |
| 48.92 | 325 |
| 50.19 | 142 |
| 59.76 | 327 |
| 63.20 | 177 |
| 72.29 | 159 |
| 81.78 | 141 |

Structural model:
```
6
Lattice="3.7241 0.0000 0.0000 0.0000 3.7241 0.0000 0.0000 0.0000 12.5623" Properties=species:S:1:pos:R:3 pbc="T T T"
Sr 0.0000 0.0000 0.0000
Sr 0.0000 0.0000 4.0283
Sr 1.8620 1.8620 9.1383
Zn 0.0000 0.0000 7.0610
Zn 1.8620 1.8620 1.9184
Pd 1.8620 1.8620 6.1582
```

Entry 6:
# Sr2Zr2Pd3
Computed XRD peak list, CuKα. Input: a crystal structure in OQMD, relaxed with PBE.
Peak positions follow from Bragg's law for the DFT cell and can differ from measured ones.

Largest 12 diffraction maxima, low angle first, 2θ = 10–90°:
| two_theta | I/Imax |
| --- | --- |
| 10.32 | 343 |
| 21.52 | 104 |
| 22.35 | 84 |
| 35.21 | 958 |
| 37.22 | 1000 |
| 38.73 | 84 |
| 52.17 | 305 |
| 61.85 | 95 |
| 65.82 | 298 |
| 67.12 | 171 |
| 79.33 | 106 |
| 89.88 | 132 |

Structural model:
```
7
Lattice="2.4155 1.3946 8.5710 -2.4155 1.3946 8.5710 0.0000 -2.7891 8.5710" Properties=species:S:1:pos:R:3 pbc="T T T"
Sr 0.0000 0.0000 0.0000
Sr 0.0000 0.0000 12.6705
Zr 0.0000 0.0000 6.5291
Zr 0.0000 0.0000 18.8351
Pd 0.0000 0.0000 9.6420
Pd 0.0000 0.0000 15.7891
Pd 0.0000 0.0000 22.7613
```

Entry 7:
# Ta2Te5Pd3
Computed XRD peak list, CuKα. Input: a crystal structure in OQMD, relaxed with PBE.
Peak positions follow from Bragg's law for the DFT cell and can differ from measured ones.

Largest 12 diffraction maxima, low angle first, 2θ = 10–90°:
| two_theta | I/Imax |
| --- | --- |
| 12.41 | 1000 |
| 26.81 | 213 |
| 27.02 | 128 |
| 30.87 | 201 |
| 33.76 | 347 |
| 36.22 | 222 |
| 37.78 | 346 |
| 38.85 | 123 |
| 42.45 | 144 |
| 42.56 | 197 |
| 45.12 | 124 |
| 48.94 | 210 |

Structural model:
```
40
Lattice="14.2662 0.0000 0.0000 0.0000 3.7225 0.0000 0.0000 0.0000 18.7919" Properties=species:S:1:pos:R:3 pbc="T T T"
Ta 3.4673 0.9306 3.1484
Ta 3.5487 0.9306 17.2231
Ta 3.5844 2.7919 7.8271
Ta 3.6658 2.7919 12.5443
Ta 10.6004 0.9306 6.2476
Ta 10.6818 0.9306 10.9648
Ta 10.7175 2.7919 1.5689
Ta 10.7989 2.7919 15.6436
Te 1.4526 0.9306 8.2828
Te 1.5132 2.7919 4.1152
Te 1.5275 0.9306 12.1466
Te 1.6187 2.7919 16.2034
Te 1.9216 0.9306 0.7639
Te 5.2115 2.7919 10.1599
Te 5.5144 0.9306 6.8074
Te 5.6056 2.7919 2.7506
Te 5.6199 0.9306 13.5112
Te 5.6805 2.7919 17.6787
Te 8.5857 0.9306 1.1132
Te 8.6463 2.7919 5.2808
Te 8.6606 0.9306 16.0414
Te 8.7518 2.7919 11.9845
Te 9.0547 0.9306 8.6320
Te 12.3446 2.7919 18.0280
Te 12.6474 0.9306 2.5886
Te 12.7387 2.7919 6.6454
Te 12.7530 0.9306 14.6767
Te 12.8136 2.7919 10.5092
Pd 2.5616 0.9306 5.8475
Pd 2.7376 0.9306 14.5238
Pd 3.2951 0.9306 10.1831
Pd 3.8380 2.7919 0.7871
Pd 4.3955 2.7919 5.1278
Pd 4.5715 2.7919 15.2435
Pd 9.6947 0.9306 3.5484
Pd 9.8707 0.9306 13.6641
Pd 10.4282 0.9306 18.0048
Pd 10.9711 2.7919 8.6089
Pd 11.5286 2.7919 4.2681
Pd 11.7046 2.7919 12.9444
```

Entry 8:
# Ta4Te16Pd3
Computed XRD peak list, CuKα. Input: a crystal structure in OQMD, relaxed with PBE.
Peak positions follow from Bragg's law for the DFT cell and can differ from measured ones.

Largest 12 diffraction maxima, low angle first, 2θ = 10–90°:
| two_theta | I/Imax |
| --- | --- |
| 13.18 | 1000 |
| 29.60 | 182 |
| 29.80 | 263 |
| 30.73 | 193 |
| 31.38 | 577 |
| 31.63 | 189 |
| 31.99 | 491 |
| 35.00 | 373 |
| 39.49 | 178 |
| 44.66 | 181 |
| 45.24 | 240 |
| 48.20 | 315 |

Structural model:
```
23
Lattice="10.8679 -1.8879 0.0000 10.8679 1.8879 0.0000 -8.9973 0.0000 15.6175" Properties=species:S:1:pos:R:3 pbc="T T T"
Ta -1.3362 0.0000 5.4565
Ta 3.7732 0.0000 1.2797
Ta 8.9652 0.0000 14.3378
Ta 14.0746 0.0000 10.1610
Te -4.7381 0.0000 9.7313
Te 0.0115 0.0000 2.8615
Te -4.0432 0.0000 14.2098
Te 3.7254 0.0000 3.9623
Te 1.0854 0.0000 9.8835
Te 3.5512 0.0000 8.0598
Te -0.1455 0.0000 15.3858
Te 8.3484 0.0000 3.6444
Te 4.3899 0.0000 11.9731
Te 12.8838 0.0000 0.2318
Te 9.1872 0.0000 7.5578
Te 11.6530 0.0000 5.7340
Te 9.0130 0.0000 11.6552
Te 16.7816 0.0000 1.4078
Te 12.7268 0.0000 12.7560
Te 17.4765 0.0000 5.8862
Pd -0.1263 0.0000 12.6223
Pd 6.3692 0.0000 7.8088
Pd 12.8647 0.0000 2.9953
```

Entry 9:
# TbPd3
Computed XRD peak list, CuKα. Input: a crystal structure in OQMD, relaxed with PBE.
Peak positions follow from Bragg's law for the DFT cell and can differ from measured ones.

Largest 12 diffraction maxima, low angle first, 2θ = 10–90°:
| two_theta | I/Imax |
| --- | --- |
| 21.63 | 31 |
| 30.77 | 27 |
| 37.92 | 1000 |
| 44.07 | 489 |
| 49.60 | 15 |
| 54.71 | 12 |
| 64.09 | 316 |
| 68.50 | 8 |
| 72.77 | 5 |
| 76.95 | 370 |
| 81.06 | 108 |
| 89.16 | 7 |

Structural model:
```
4
Lattice="4.1094 0.0000 0.0000 0.0000 4.1094 0.0000 0.0000 0.0000 4.1094" Properties=species:S:1:pos:R:3 pbc="T T T"
Tb 0.0000 0.0000 0.0000
Pd 0.0000 2.0547 2.0547
Pd 2.0547 0.0000 2.0547
Pd 2.0547 2.0547 0.0000
```

Entry 10:
# TbTmPd2
Computed XRD peak list, CuKα. Input: a crystal structure in OQMD, relaxed with PBE.
Peak positions follow from Bragg's law for the DFT cell and can differ from measured ones.

Largest 12 diffraction maxima, low angle first, 2θ = 10–90°:
| two_theta | I/Imax |
| --- | --- |
| 28.27 | 240 |
| 28.52 | 231 |
| 32.46 | 1000 |
| 34.76 | 367 |
| 35.18 | 328 |
| 36.21 | 528 |
| 36.61 | 619 |
| 39.26 | 642 |
| 40.09 | 436 |
| 40.46 | 410 |
| 53.43 | 216 |
| 55.56 | 210 |

Structural model:
```
8
Lattice="5.5285 0.0000 0.0000 0.0000 4.5894 0.0000 -0.1150 0.0000 6.8990" Properties=species:S:1:pos:R:3 pbc="T T T"
Tb 0.7857 1.1474 1.2690
Tb 4.6278 3.4421 5.6300
Tm 1.8936 1.1474 4.7052
Tm 3.5198 3.4421 2.1938
Pd 0.8235 3.4421 3.1921
Pd 1.8091 3.4421 6.5803
Pd 3.6043 1.1474 0.3187
Pd 4.5899 1.1474 3.7069
```

Entry 11:
# TbTm3Pd4
Computed XRD peak list, CuKα. Input: a crystal structure in OQMD, relaxed with PBE.
Peak positions follow from Bragg's law for the DFT cell and can differ from measured ones.

Largest 12 diffraction maxima, low angle first, 2θ = 10–90°:
| two_theta | I/Imax |
| --- | --- |
| 28.58 | 240 |
| 28.70 | 237 |
| 33.07 | 849 |
| 34.46 | 361 |
| 34.66 | 344 |
| 36.74 | 508 |
| 36.93 | 560 |
| 40.04 | 430 |
| 40.19 | 1000 |
| 53.93 | 205 |
| 54.07 | 194 |
| 68.52 | 148 |

Structural model:
```
8
Lattice="5.6168 0.0000 0.0000 0.0000 4.4903 0.0000 -0.0543 0.0000 6.7930" Properties=species:S:1:pos:R:3 pbc="T T T"
Tb 0.0000 0.0000 0.0000
Tm 1.1785 0.0000 3.3907
Tm 2.7940 2.2452 0.9248
Tm 3.9676 2.2452 4.3140
Pd 0.0597 2.2452 1.9335
Pd 1.0935 2.2452 5.2262
Pd 2.8348 0.0000 5.8231
Pd 3.8964 0.0000 2.4495
```